1.
Theoretical PXRD pattern of ZnIn2Te4 for a wavelength of 1.5418 Å, from DFT lattice parameters and positions (GGA-PBE).

Peak list (8 most intense, 2θ from 15° to 90°, in order of rising 2θ)
Position (°2θ)  intensity
24.6  100
32.9  14
40.6  47
40.9  22
47.9  16
48.3  26
64.7  11
74.3  11

Cell and atoms:
```
ZnIn2Te4
1.0
-3.119 3.119 6.319
3.119 -3.119 6.319
3.119 3.119 -6.319
Zn In Te
1 2 4
Direct
0.000 0.000 0.000
0.250 0.750 0.500
0.500 0.500 0.000
0.082 0.603 0.949
0.397 0.345 0.479
0.655 0.133 0.051
0.867 0.918 0.521
```

2.
Theoretical PXRD pattern of Ca2SnS4 for a wavelength of 1.5418 Å, from DFT lattice parameters and positions (GGA-PBE).

Peak list (8 most intense, 2θ from 15° to 90°, in order of rising 2θ)
Position (°2θ)  intensity
21.2  37
24.0  97
29.9  34
30.6  35
32.2  100
34.3  81
42.1  55
45.9  48

Cell and atoms:
```
Ca2SnS4
1.0
13.212 0.000 0.000
0.000 3.716 0.000
0.000 0.000 13.429
Ca Sn S
8 4 16
Direct
0.105 0.250 0.078
0.146 0.250 0.719
0.354 0.750 0.219
0.395 0.750 0.578
0.605 0.250 0.422
0.646 0.250 0.781
0.854 0.750 0.281
0.895 0.750 0.922
0.128 0.750 0.419
0.372 0.250 0.919
0.628 0.750 0.081
0.872 0.250 0.581
0.018 0.750 0.604
0.038 0.250 0.884
0.202 0.250 0.271
0.229 0.250 0.523
0.271 0.750 0.023
0.298 0.750 0.771
0.462 0.750 0.384
0.482 0.250 0.104
0.518 0.750 0.896
0.538 0.250 0.616
0.702 0.250 0.229
0.729 0.250 0.977
0.771 0.750 0.477
0.798 0.750 0.729
0.962 0.750 0.116
0.982 0.250 0.396
```

3.
Theoretical PXRD pattern of LaTaTiO6 for a wavelength of 1.5418 Å, from DFT lattice parameters and positions (GGA-PBE).

Peak list (8 most intense, 2θ from 15° to 90°, in order of rising 2θ)
Position (°2θ)  intensity
19.5  33
25.5  100
26.5  83
26.8  94
33.8  31
34.6  42
44.3  32
50.7  28

Cell and atoms:
```
LaTaTiO6
1.0
5.657 -4.457 0.000
5.657 4.457 0.000
-2.235 0.000 4.815
La Ta Ti O
2 2 2 12
Direct
0.000 0.000 0.000
0.610 0.390 0.500
0.458 0.011 0.700
0.989 0.542 0.300
0.152 0.378 0.799
0.622 0.848 0.201
0.083 0.634 0.710
0.202 0.085 0.781
0.245 0.472 0.206
0.366 0.917 0.290
0.402 0.308 0.719
0.528 0.755 0.794
0.620 0.097 0.104
0.692 0.598 0.281
0.707 0.010 0.602
0.903 0.380 0.896
0.915 0.798 0.219
0.990 0.293 0.398
```

4.
Theoretical PXRD pattern of Ce3LuSe6 for a wavelength of 1.5418 Å, from DFT lattice parameters and positions (GGA-PBE).

Peak list (8 most intense, 2θ from 15° to 90°, in order of rising 2θ)
Position (°2θ)  intensity
23.7  47
30.4  43
32.3  46
32.4  100
33.6  46
38.3  54
42.3  45
44.2  58

Cell and atoms:
```
Ce3LuSe6
1.0
14.522 0.000 0.000
0.000 17.572 0.000
0.000 0.000 4.101
Ce Lu Se
12 4 24
Direct
0.048 0.219 0.000
0.181 0.651 0.000
0.249 0.900 0.500
0.251 0.400 0.000
0.319 0.151 0.500
0.452 0.719 0.500
0.548 0.281 0.500
0.681 0.849 0.500
0.749 0.600 0.000
0.751 0.100 0.500
0.819 0.349 0.000
0.952 0.781 0.000
0.000 0.000 0.500
0.000 0.500 0.500
0.500 0.000 0.000
0.500 0.500 0.000
0.023 0.394 0.000
0.092 0.921 0.000
0.105 0.754 0.500
0.125 0.112 0.500
0.186 0.290 0.500
0.189 0.524 0.500
0.311 0.024 0.000
0.314 0.790 0.000
0.375 0.612 0.000
0.395 0.254 0.000
0.408 0.421 0.500
0.477 0.894 0.500
0.523 0.106 0.500
0.592 0.579 0.500
0.605 0.746 0.000
0.625 0.388 0.000
0.686 0.210 0.000
0.689 0.976 0.000
0.811 0.476 0.500
0.814 0.710 0.500
0.875 0.888 0.500
0.895 0.246 0.500
0.908 0.079 0.000
0.977 0.606 0.000
```

5.
Theoretical PXRD pattern of PrYAl6 for a wavelength of 1.5418 Å, from DFT lattice parameters and positions (GGA-PBE).

Peak list (8 most intense, 2θ from 15° to 90°, in order of rising 2θ)
Position (°2θ)  intensity
15.9  20
25.1  77
27.7  36
32.1  27
37.8  100
39.2  21
57.3  17
71.6  17

Cell and atoms:
```
PrYAl6
1.0
6.432 0.000 0.000
-3.216 5.570 0.000
0.000 0.000 4.599
Pr Y Al
1 1 6
Direct
0.000 0.000 0.000
0.667 0.333 0.500
0.042 0.521 0.000
0.191 0.381 0.500
0.191 0.809 0.500
0.479 0.521 0.000
0.479 0.958 0.000
0.619 0.809 0.500
```

6.
Theoretical PXRD pattern of YCuPbS3 for a wavelength of 1.5418 Å, from DFT lattice parameters and positions (GGA-PBE).

Peak list (8 most intense, 2θ from 15° to 90°, in order of rising 2θ)
Position (°2θ)  intensity
17.3  36
22.0  60
25.2  48
31.9  100
34.9  34
35.4  73
40.6  37
45.3  33

Cell and atoms:
```
YCuPbS3
1.0
1.965 -6.527 0.000
1.965 6.527 0.000
0.000 0.000 10.278
Y Cu Pb S
2 2 2 6
Direct
0.000 0.000 0.000
0.000 0.000 0.500
0.466 0.534 0.750
0.534 0.466 0.250
0.249 0.751 0.250
0.751 0.249 0.750
0.074 0.926 0.750
0.362 0.638 0.568
0.362 0.638 0.932
0.638 0.362 0.068
0.638 0.362 0.432
0.926 0.074 0.250
```

7.
Theoretical PXRD pattern of Sr4U3ZnO12 for a wavelength of 1.5418 Å, from DFT lattice parameters and positions (GGA-PBE).

Peak list (8 most intense, 2θ from 15° to 90°, in order of rising 2θ)
Position (°2θ)  intensity
21.0  46
29.6  100
29.7  46
29.8  51
29.9  45
30.2  46
42.3  24
42.8  48

Cell and atoms:
```
Sr4U3ZnO12
1.0
5.920 0.000 0.000
-0.003 6.039 0.000
-0.105 -0.053 8.549
Sr U Zn O
4 3 1 12
Direct
0.013 0.035 0.270
0.487 0.553 0.273
0.513 0.447 0.727
0.987 0.965 0.730
0.000 0.500 0.000
0.000 0.500 0.500
0.500 0.000 0.000
0.500 0.000 0.500
0.099 0.534 0.752
0.202 0.793 0.061
0.215 0.781 0.458
0.281 0.286 0.463
0.291 0.298 0.063
0.408 0.031 0.764
0.592 0.969 0.236
0.709 0.702 0.937
0.719 0.714 0.537
0.785 0.219 0.542
0.798 0.207 0.939
0.901 0.466 0.248
```

8.
Theoretical PXRD pattern of GdAl8Cu4 for a wavelength of 1.5418 Å, from DFT lattice parameters and positions (GGA-PBE).

Peak list (8 most intense, 2θ from 15° to 90°, in order of rising 2θ)
Position (°2θ)  intensity
20.0  27
28.5  39
28.6  40
35.2  30
40.6  79
40.9  100
59.0  29
74.4  18

Cell and atoms:
```
GdAl8Cu4
1.0
-4.407 4.407 2.574
4.407 -4.407 2.574
4.407 4.407 -2.574
Gd Al Cu
1 8 4
Direct
0.000 0.000 0.000
0.000 0.348 0.348
0.000 0.652 0.652
0.280 0.500 0.780
0.348 0.000 0.348
0.500 0.280 0.780
0.500 0.720 0.220
0.652 0.000 0.652
0.720 0.500 0.220
0.000 0.000 0.500
0.000 0.500 0.000
0.500 0.000 0.000
0.500 0.500 0.500
```